1.
This entry pairs a crystal structure of Na2In2Sb3 with its calculated powder XRD pattern. Radiation: Cu Ka. Structure: DFT lattice parameters and positions (GGA-PBE).
No peak broadening, texture or thermal motion is included.

Structural model:
```
data_Na2In2Sb3
_symmetry_space_group_name_H-M 'P 1 21/c 1'
_symmetry_Int_Tables_number 14
_cell_length_a 14.830
_cell_length_b 7.688
_cell_length_c 15.843
_cell_angle_alpha 90.00
_cell_angle_beta 90.01
_cell_angle_gamma 90.00
loop_
_symmetry_equiv_pos_as_xyz
'x,y,z'
'-x,-y,-z'
'-x,y+1/2,-z+1/2'
'x,-y+1/2,z+1/2'
loop_
_atom_site_label
_atom_site_fract_x
_atom_site_fract_y
_atom_site_fract_z
Na1 0.061 0.091 0.412
Na2 0.159 0.575 0.475
Na3 0.359 0.047 0.487
Na4 0.419 0.548 0.384
In1 0.086 0.731 0.241
In2 0.180 0.214 0.151
In3 0.315 0.741 0.162
In4 0.408 0.216 0.227
Sb1 0.014 0.015 0.144
Sb2 0.157 0.559 0.088
Sb3 0.242 0.216 0.324
Sb4 0.252 0.662 0.831
Sb5 0.345 0.056 0.071
Sb6 0.477 0.533 0.158
```

Top 8 peaks for 10 to 80 degrees two-theta, sorted by position:
| two_theta | I_rel | h k l |
| --- | --- | --- |
| 11.17 | 100 | 0 0 2 |
| 12.67 | 45 | 1 0 -2 |
| 21.23 | 59 | 3 0 -2 |
| 22.10 | 56 | 3 1 1 |
| 25.76 | 55 | 0 2 2 |
| 28.06 | 42 | 2 1 4 |
| 34.70 | 42 | 2 2 -4 |
| 43.32 | 66 | 2 2 -6 |

=====

2.
This entry pairs a crystal structure of K2ScHgBr6 with its calculated powder XRD pattern. Radiation: Cu Ka. Structure: DFT lattice parameters and positions (GGA-PBE).
No peak broadening, texture or thermal motion is included.

Structural model:
```
data_K2ScHgBr6
_symmetry_space_group_name_H-M 'F m -3 m'
_symmetry_Int_Tables_number 225
_symmetry_space_group_name_Hall '-F 4 2 3'
_cell_length_a 11.353
_cell_length_b 11.353
_cell_length_c 11.353
_cell_angle_alpha 90.00
_cell_angle_beta 90.00
_cell_angle_gamma 90.00
loop_
_atom_site_label
_atom_site_fract_x
_atom_site_fract_y
_atom_site_fract_z
K1 0.250 0.250 0.250
Sc1 0.000 0.000 0.000
Hg1 0.000 0.000 0.500
Br1 0.000 0.000 0.234
```

Top 8 peaks for 10 to 80 degrees two-theta, sorted by position:
| two_theta | I_rel | h k l |
| --- | --- | --- |
| 15.61 | 89 | 2 0 0 |
| 26.03 | 28 | 3 1 1 |
| 27.21 | 32 | 2 2 2 |
| 31.52 | 100 | 4 0 0 |
| 34.43 | 27 | 3 3 1 |
| 35.36 | 46 | 4 2 0 |
| 45.18 | 70 | 4 4 0 |
| 74.80 | 28 | 8 4 0 |

=====

3.
This entry pairs a crystal structure of MgSi with its calculated powder XRD pattern. Radiation: Cu Ka. Structure: DFT lattice parameters and positions (GGA-PBE).
No peak broadening, texture or thermal motion is included.

Structural model:
```
data_MgSi
_symmetry_space_group_name_H-M 'P 1'
_symmetry_Int_Tables_number 1
_cell_length_a 5.712
_cell_length_b 5.947
_cell_length_c 13.767
_cell_angle_alpha 102.17
_cell_angle_beta 95.67
_cell_angle_gamma 91.00
loop_
_symmetry_equiv_pos_as_xyz
'x,y,z'
loop_
_atom_site_label
_atom_site_fract_x
_atom_site_fract_y
_atom_site_fract_z
Mg1 0.000 0.000 0.000
Mg2 0.002 0.533 0.077
Mg3 0.061 0.371 0.332
Mg4 0.068 0.904 0.400
Mg5 0.131 0.343 0.687
Mg6 0.155 0.877 0.756
Mg7 0.504 0.719 0.046
Mg8 0.515 0.250 0.105
Mg9 0.567 0.100 0.345
Mg10 0.601 0.647 0.437
Mg11 0.665 0.602 0.656
Mg12 0.688 0.157 0.758
Si1 0.071 0.631 0.546
Si2 0.218 0.313 0.905
Si3 0.234 0.982 0.185
Si4 0.335 0.643 0.251
Si5 0.346 0.299 0.507
Si6 0.363 0.960 0.590
Si7 0.471 0.574 0.835
Si8 0.536 0.988 0.907
Si9 0.746 0.632 0.245
Si10 0.747 0.104 0.549
Si11 0.829 0.985 0.192
Si12 0.901 0.601 0.862
```

Top 8 peaks for 10 to 80 degrees two-theta, sorted by position:
| two_theta | I_rel | h k l |
| --- | --- | --- |
| 35.26 | 90 | 1 2 0 |
| 35.76 | 49 | -1 2 1 |
| 36.08 | 94 | 1 1 -5 |
| 37.16 | 75 | -2 1 2 |
| 38.61 | 55 | 1 -1 5 |
| 39.38 | 60 | 2 0 3 |
| 39.99 | 100 | 0 1 5 |
| 40.65 | 70 | 2 1 2 |

=====

4.
This entry pairs a crystal structure of CaZnSiH2O5 with its calculated powder XRD pattern. Radiation: Cu Ka. Structure: DFT lattice parameters and positions (GGA-PBE).
No peak broadening, texture or thermal motion is included.

Structural model:
```
data_CaZnSiH2O5
_symmetry_space_group_name_H-M 'C 1 c 1'
_symmetry_Int_Tables_number 9
_cell_length_a 5.166
_cell_length_b 16.101
_cell_length_c 5.474
_cell_angle_alpha 90.00
_cell_angle_beta 103.28
_cell_angle_gamma 90.00
loop_
_symmetry_equiv_pos_as_xyz
'x,y,z'
'x,-y,z+1/2'
'x+1/2,y+1/2,z'
'x+1/2,-y+1/2,z+1/2'
loop_
_atom_site_label
_atom_site_fract_x
_atom_site_fract_y
_atom_site_fract_z
Ca1 0.000 0.072 0.000
Zn1 0.344 0.250 0.141
Si1 0.335 0.138 0.621
H1 0.028 0.488 0.743
H2 0.197 0.417 0.918
O1 0.163 0.357 0.188
O2 0.206 0.459 0.784
O3 0.209 0.207 0.793
O4 0.218 0.159 0.322
O5 0.245 0.045 0.694
```

Top 8 peaks for 10 to 80 degrees two-theta, sorted by position:
| two_theta | I_rel | h k l |
| --- | --- | --- |
| 10.99 | 56 | 0 2 0 |
| 22.05 | 54 | 1 1 -1 |
| 27.10 | 67 | 1 3 -1 |
| 31.85 | 100 | 1 3 1 |
| 33.64 | 23 | 0 0 2 |
| 35.23 | 53 | 1 5 -1 |
| 37.49 | 30 | 2 2 0 |
| 44.99 | 34 | 2 2 -2 |

=====

5.
This entry pairs a crystal structure of Zr5N5O2 with its calculated powder XRD pattern. Radiation: Cu Ka. Structure: DFT lattice parameters and positions (GGA-PBE).
No peak broadening, texture or thermal motion is included.

Structural model:
```
data_Zr5N5O2
_symmetry_space_group_name_H-M 'C 1 2/m 1'
_symmetry_Int_Tables_number 12
_cell_length_a 10.597
_cell_length_b 3.119
_cell_length_c 9.260
_cell_angle_alpha 90.00
_cell_angle_beta 105.71
_cell_angle_gamma 90.00
loop_
_symmetry_equiv_pos_as_xyz
'x,y,z'
'-x,-y,-z'
'-x,y,-z'
'x,-y,z'
'x+1/2,y+1/2,z'
'-x+1/2,-y+1/2,-z'
'-x+1/2,y+1/2,-z'
'x+1/2,-y+1/2,z'
loop_
_atom_site_label
_atom_site_fract_x
_atom_site_fract_y
_atom_site_fract_z
Zr1 0.000 0.000 0.000
Zr2 0.114 0.000 0.423
Zr3 0.201 0.500 0.806
N1 0.000 0.500 0.500
N2 0.156 0.500 0.053
N3 0.238 0.500 0.352
O1 0.045 0.000 0.787
```

Top 8 peaks for 10 to 80 degrees two-theta, sorted by position:
| two_theta | I_rel | h k l |
| --- | --- | --- |
| 29.98 | 100 | 2 0 2 |
| 30.44 | 72 | 2 0 -3 |
| 32.40 | 34 | 1 1 1 |
| 33.84 | 41 | 4 0 -1 |
| 38.62 | 22 | 3 1 -1 |
| 40.74 | 38 | 3 1 -2 |
| 42.37 | 29 | 3 1 1 |
| 53.22 | 20 | 1 1 4 |

=====

6.
This entry pairs a crystal structure of BaC6 with its calculated powder XRD pattern. Radiation: Cu Ka. Structure: DFT lattice parameters and positions (GGA-PBE).
No peak broadening, texture or thermal motion is included.

Structural model:
```
data_BaC6
_symmetry_space_group_name_H-M 'P 63/m m c'
_symmetry_Int_Tables_number 194
_symmetry_space_group_name_Hall '-P 6c 2c'
_cell_length_a 4.3394
_cell_length_b 4.3394
_cell_length_c 10.7630
_cell_angle_alpha 90.00
_cell_angle_beta 90.00
_cell_angle_gamma 120.00
loop_
_atom_site_label
_atom_site_fract_x
_atom_site_fract_y
_atom_site_fract_z
Ba1 0.3333 0.6667 0.2500
C1 0.0000 0.3334 0.0000
```

Top 8 peaks for 10 to 80 degrees two-theta, sorted by position:
| two_theta | I_rel | h k l |
| --- | --- | --- |
| 23.68 | 19 | 1 0 0 |
| 25.10 | 100 | 1 0 1 |
| 28.98 | 23 | 1 0 2 |
| 33.30 | 24 | 0 0 4 |
| 34.56 | 43 | 1 0 3 |
| 45.05 | 40 | 1 1 2 |
| 48.75 | 16 | 1 0 5 |
| 49.23 | 16 | 2 0 1 |

=====

Please write out number 6 again, unchanged.
This entry pairs a crystal structure of BaC6 with its calculated powder XRD pattern. Radiation: Cu Ka. Structure: DFT lattice parameters and positions (GGA-PBE).
No peak broadening, texture or thermal motion is included.

Structural model:
```
data_BaC6
_symmetry_space_group_name_H-M 'P 63/m m c'
_symmetry_Int_Tables_number 194
_symmetry_space_group_name_Hall '-P 6c 2c'
_cell_length_a 4.3394
_cell_length_b 4.3394
_cell_length_c 10.7630
_cell_angle_alpha 90.00
_cell_angle_beta 90.00
_cell_angle_gamma 120.00
loop_
_atom_site_label
_atom_site_fract_x
_atom_site_fract_y
_atom_site_fract_z
Ba1 0.3333 0.6667 0.2500
C1 0.0000 0.3334 0.0000
```

Top 8 peaks for 10 to 80 degrees two-theta, sorted by position:
| two_theta | I_rel | h k l |
| --- | --- | --- |
| 23.68 | 19 | 1 0 0 |
| 25.10 | 100 | 1 0 1 |
| 28.98 | 23 | 1 0 2 |
| 33.30 | 24 | 0 0 4 |
| 34.56 | 43 | 1 0 3 |
| 45.05 | 40 | 1 1 2 |
| 48.75 | 16 | 1 0 5 |
| 49.23 | 16 | 2 0 1 |